The following is a computed powder diffraction line list of PaNiB2O8. It was derived from a DFT-relaxed cell (PBE+U, Alexandria), using Cu Kα, 1.54184 Å.
Neutral-atom scattering factors, no anomalous dispersion.

Cell and atoms:
Cell lengths 4.865, 4.865, 6.412 Å; angles 90.00, 90.00, 120.00 degrees
Sites, in units of the cell vectors:
1 Pa 0.000 0.000 0.000
2 Ni 0.000 0.000 0.500
3 B 0.333 0.667 0.221
4 B 0.667 0.333 0.779
5 O 0.168 0.336 0.283
6 O 0.168 0.832 0.283
7 O 0.333 0.667 0.992
8 O 0.336 0.168 0.717
9 O 0.664 0.832 0.283
10 O 0.667 0.333 0.008
11 O 0.832 0.168 0.717
12 O 0.832 0.664 0.717

Peak list (10 most intense, 10 to 90 degrees two-theta, by angle)
13.8°, I = 34
21.1°, I = 100
25.3°, I = 33
35.2°, I = 51
37.0°, I = 29
39.6°, I = 21
46.9°, I = 36
51.9°, I = 25
57.9°, I = 14
65.4°, I = 17